No. 1
Diffraction record for Ba4CdRh2. The powder diffractogram is theoretical, not measured: it uses the PBE geometry in Alexandria and CuKα.
Kinematic intensities with the Lorentz-polarization factor, no thermal factor.

Structural model:
Lattice parameters (Å, degrees): 13.141 9.523 8.883 90.00 109.14 90.00
Space group Cm (No. 8)
Symmetry-distinct sites (fractional):
Ba (0.000, 0.000, 0.000)
Ba (0.002, 0.000, 0.530)
Ba (0.015, 0.500, 0.019)
Ba (0.026, 0.500, 0.528)
Ba (0.276, 0.281, 0.153)
Ba (0.291, 0.271, 0.660)
Cd (0.214, 0.000, 0.367)
Cd (0.214, 0.000, 0.875)
Rh (0.085, 0.243, 0.815)
Rh (0.195, 0.500, 0.861)
Rh (0.237, 0.500, 0.388)

Largest 10 diffraction maxima, sorted by position, 2θ from 10° to 90°:
- (0 2 2), 28.4°, I 953
- (2 2 -2), 28.5°, I 1000
- (4 0 0), 28.8°, I 482
- (2 0 2), 29.3°, I 502
- (4 0 -2), 29.7°, I 455
- (4 2 0), 34.5°, I 432
- (2 2 2), 35.0°, I 652
- (4 2 -2), 35.3°, I 676
- (0 4 0), 37.8°, I 543
- (2 0 -4), 40.6°, I 506


No. 2
Diffraction record for LiSi2Pt2. The powder diffractogram is theoretical, not measured: it uses the PBE geometry in Alexandria and CuKα.
Kinematic intensities with the Lorentz-polarization factor, no thermal factor.

Structural model:
Lattice parameters (Å, degrees): 3.954 3.954 10.834 90.00 90.00 90.00
Space group I4/mmm (No. 139)
Symmetry-distinct sites (fractional):
Li (0.000, 0.000, 0.000)
Si (0.000, 0.500, 0.250)
Pt (0.000, 0.000, 0.375)

Largest 10 diffraction maxima, sorted by position, 2θ from 10° to 90°:
- (1 0 1), 24.0°, I 1000
- (1 1 0), 32.0°, I 373
- (0 0 4), 33.1°, I 161
- (1 0 3), 33.6°, I 458
- (2 0 0), 45.9°, I 252
- (1 1 4), 46.7°, I 459
- (1 0 5), 47.9°, I 174
- (2 1 1), 52.4°, I 247
- (2 1 3), 58.1°, I 195
- (3 1 4), 85.6°, I 168


No. 3
Diffraction record for Ho6MgAl2. The powder diffractogram is theoretical, not measured: it uses the PBE geometry in Alexandria and CuKα.
Kinematic intensities with the Lorentz-polarization factor, no thermal factor.

Structural model:
Lattice parameters (Å, degrees): 16.002 7.308 4.997 90.00 108.10 90.00
Space group C2/m (No. 12)
Symmetry-distinct sites (fractional):
Ho (0.000, 0.236, 0.000)
Ho (0.170, 0.245, 0.670)
Mg (0.000, 0.500, 0.500)
Al (0.168, 0.000, 0.168)

Largest 10 diffraction maxima, sorted by position, 2θ from 10° to 90°:
- (0 2 0), 24.4°, I 461
- (2 0 1), 25.0°, I 874
- (2 2 1), 35.2°, I 1000
- (6 0 0), 35.4°, I 248
- (2 0 -2), 35.9°, I 240
- (6 2 0), 43.4°, I 200
- (2 2 -2), 43.9°, I 196
- (2 4 1), 56.6°, I 179
- (8 2 1), 63.4°, I 179
- (0 2 3), 64.1°, I 176


No. 4
Diffraction record for PmErThSc. The powder diffractogram is theoretical, not measured: it uses the PBE geometry in Alexandria and CuKα.
Kinematic intensities with the Lorentz-polarization factor, no thermal factor.

Structural model:
Lattice parameters (Å, degrees): 3.5366 3.5366 33.5935 90.00 90.00 120.00
Space group R3m (No. 160, hexagonal axes)
Symmetry-distinct sites (fractional):
Pm (0.0000, 0.0000, 0.0000)
Er (0.0000, 0.0000, 0.7549)
Th (0.0000, 0.0000, 0.1713)
Sc (0.0000, 0.0000, 0.5835)

Largest 10 diffraction maxima, sorted by position, 2θ from 10° to 90°:
- (1 0 1), 29.3°, I 240
- (0 1 2), 29.6°, I 293
- (1 0 4), 31.1°, I 264
- (0 0 12), 32.0°, I 438
- (0 1 5), 32.1°, I 1000
- (1 0 7), 34.7°, I 661
- (1 0 10), 39.8°, I 211
- (1 1 0), 51.7°, I 352
- (0 1 17), 55.3°, I 248
- (1 1 12), 62.1°, I 547


No. 5
Diffraction record for CeGeN. The powder diffractogram is theoretical, not measured: it uses the PBE geometry in Alexandria and CuKα.
Kinematic intensities with the Lorentz-polarization factor, no thermal factor.

Structural model:
Lattice parameters (Å, degrees): 4.070 4.050 7.279 90.00 105.48 90.00
Space group P2_1/m (No. 11)
Symmetry-distinct sites (fractional):
Ce (0.176, 0.250, 0.347)
Ge (0.419, 0.250, 0.902)
N (0.252, 0.750, 0.500)

Largest 10 diffraction maxima, sorted by position, 2θ from 10° to 90°:
- (0 1 1), 25.4°, I 259
- (1 0 1), 28.9°, I 539
- (1 0 -2), 29.3°, I 684
- (1 1 0), 31.8°, I 627
- (1 1 -1), 31.9°, I 389
- (0 1 2), 33.8°, I 1000
- (2 0 -1), 44.5°, I 277
- (0 2 0), 44.8°, I 304
- (1 2 -2), 54.4°, I 239
- (1 1 -4), 56.2°, I 264


No. 6
Diffraction record for Rb7Cd2Hg2. The powder diffractogram is theoretical, not measured: it uses the PBE geometry in Alexandria and CuKα.
Kinematic intensities with the Lorentz-polarization factor, no thermal factor.

Structural model:
Lattice parameters (Å, degrees): 8.429 16.763 10.016 90.00 100.58 90.00
Space group C2/m (No. 12)
Symmetry-distinct sites (fractional):
Rb (0.000, 0.000, 0.000)
Rb (0.136, 0.500, 0.290)
Rb (0.229, 0.288, 0.728)
Cd (0.143, 0.000, 0.360)
Hg (0.000, 0.131, 0.500)

Largest 10 diffraction maxima, sorted by position, 2θ from 10° to 90°:
- (1 1 0), 11.9°, I 1000
- (1 1 1), 16.1°, I 421
- (1 3 1), 22.0°, I 542
- (1 1 2), 23.3°, I 532
- (2 2 -1), 24.2°, I 419
- (0 4 2), 28.0°, I 488
- (2 4 -1), 30.5°, I 564
- (2 0 2), 30.6°, I 498
- (1 3 -3), 31.8°, I 527
- (0 4 3), 34.7°, I 447


No. 7
Diffraction record for Ho4Cu3Sb8. The powder diffractogram is theoretical, not measured: it uses the PBE geometry in Alexandria and CuKα.
Kinematic intensities with the Lorentz-polarization factor, no thermal factor.

Structural model:
Lattice parameters (Å, degrees): 4.334 4.334 19.063 90.00 90.00 90.00
Space group P-4m2 (No. 115)
Symmetry-distinct sites (fractional):
Ho (0.000, 0.500, 0.117)
Ho (0.000, 0.500, 0.627)
Cu (0.000, 0.000, 0.000)
Cu (0.000, 0.000, 0.500)
Cu (0.500, 0.500, 0.500)
Sb (0.000, 0.000, 0.245)
Sb (0.000, 0.500, 0.417)
Sb (0.000, 0.500, 0.928)
Sb (0.500, 0.500, 0.246)

Largest 10 diffraction maxima, sorted by position, 2θ from 10° to 90°:
- (1 0 4), 27.8°, I 132
- (1 1 2), 30.6°, I 201
- (1 1 4), 34.8°, I 1000
- (1 0 6), 35.0°, I 240
- (2 0 0), 41.7°, I 445
- (1 0 10), 52.4°, I 154
- (2 1 6), 55.5°, I 128
- (2 2 0), 60.4°, I 146
- (2 1 10), 69.1°, I 132
- (3 1 4), 71.6°, I 237